(1)
Li5FeO3F: calculated XRD peak list (Cu Kα X-rays), based on a cell relaxed with GGA+U.

Structure:
```
Li5FeO3F
1.0
5.472 0.000 0.000
0.000 6.640 0.000
-0.371 0.000 5.470
Li Fe O F
10 2 6 2
Cartesian
0.000 0.000 0.000 Li
0.149 1.814 2.438 Li
0.149 4.827 2.438 Li
1.422 3.320 3.851 Li
2.527 1.651 0.923 Li
2.527 4.989 0.923 Li
3.344 3.320 2.467 Li
3.874 1.529 4.041 Li
3.874 5.111 4.041 Li
4.033 0.000 1.855 Li
1.606 0.000 3.499 Fe
5.103 3.320 0.157 Fe
2.212 1.749 2.909 O
2.212 4.892 2.909 O
4.515 1.572 0.741 O
4.515 5.069 0.741 O
4.929 3.320 3.549 O
4.994 0.000 3.493 O
1.868 0.000 0.281 F
1.913 3.320 0.265 F
```

Principal peaks in the range 10° ≤ 2θ ≤ 80°, by angle:
two_theta	I (rel.)
21.05	100
23.79	30
26.00	17
26.85	20
31.53	28
32.78	74
40.25	19
42.87	16
44.14	20
45.26	30
55.33	20
57.73	31

(2)
LiFe8O14F2: calculated XRD peak list (Cu Kα X-rays), based on a cell relaxed with GGA+U.

Structure:
```
LiFe8O14F2
1.0
4.705 0.000 0.000
0.035 4.734 0.000
0.017 0.004 11.895
Li Fe O F
1 8 14 2
Cartesian
0.000 0.000 0.000 Li
2.347 0.024 2.874 Fe
2.353 0.028 5.968 Fe
2.402 4.733 11.855 Fe
2.516 4.616 8.889 Fe
4.578 2.259 4.420 Fe
4.699 2.391 7.323 Fe
4.714 2.369 1.489 Fe
4.727 2.378 10.406 Fe
0.890 1.464 5.869 O
0.896 1.480 2.937 O
1.014 1.554 11.886 O
1.363 3.940 1.370 O
1.416 3.914 10.447 O
1.474 3.833 7.413 O
3.185 0.836 4.416 O
3.344 0.875 7.440 O
3.364 0.800 1.348 O
3.411 0.777 10.445 O
3.744 3.245 5.841 O
3.741 3.185 0.020 O
3.745 3.209 2.934 O
3.868 3.173 8.890 O
1.059 1.467 8.906 F
1.369 3.813 4.396 F
```

Principal peaks in the range 10° ≤ 2θ ≤ 80°, by angle:
two_theta	I (rel.)
26.61	99
26.81	97
35.69	100
53.03	27
53.18	31
53.26	26
53.40	32
54.81	17
55.25	16
62.46	15
67.15	22
67.52	18

(3)
Li9Fe3O2F14: calculated XRD peak list (Cu Kα X-rays), based on a cell relaxed with GGA+U.

Structure:
```
Li9Fe3O2F14
1.0
5.931 0.000 0.000
-2.954 5.213 0.000
-2.864 -1.787 9.740
Li Fe O F
9 3 2 14
Cartesian
0.000 0.000 0.000 Li
-2.909 1.713 4.870 Li
-1.366 0.941 2.519 Li
-1.416 4.203 2.991 Li
-1.313 0.754 7.872 Li
0.057 1.713 4.870 Li
1.426 2.672 1.868 Li
1.530 -0.776 6.749 Li
1.479 2.486 7.221 Li
-1.432 -0.893 4.870 Fe
-1.477 2.606 0.000 Fe
2.966 0.000 0.000 Fe
-1.335 4.252 0.983 O
1.448 -0.826 8.758 O
-3.037 3.473 6.010 F
-0.074 1.709 1.177 F
-1.419 0.745 5.954 F
-0.070 -0.059 3.726 F
-1.367 -1.042 8.554 F
-1.418 2.437 3.735 F
-2.904 1.719 8.501 F
3.017 1.707 1.239 F
1.532 0.989 6.005 F
1.480 4.468 1.187 F
0.183 3.485 6.014 F
1.532 2.681 3.787 F
0.188 1.717 8.564 F
3.151 -0.047 3.731 F
```

Principal peaks in the range 10° ≤ 2θ ≤ 80°, by angle:
two_theta	I (rel.)
18.21	100
18.33	89
20.99	42
30.16	26
35.00	20
35.12	40
42.72	96
43.06	47
56.64	21
61.85	30
62.01	29
62.69	29

(4)
LiFe3O2F6: calculated XRD peak list (Cu Kα X-rays), based on a cell relaxed with GGA+U.

Structure:
```
LiFe3O2F6
1.0
3.850 0.000 0.000
0.000 9.630 0.000
0.000 0.000 8.585
Li Fe O F
2 6 4 12
Cartesian
0.000 0.793 0.000 Li
1.925 8.837 4.293 Li
0.000 4.311 3.997 Fe
0.000 7.111 6.805 Fe
0.000 7.274 1.439 Fe
1.925 2.356 5.732 Fe
1.925 2.519 2.512 Fe
1.925 5.319 8.290 Fe
0.000 2.820 2.732 O
0.000 5.861 8.556 O
1.925 3.768 4.263 O
1.925 6.810 7.025 O
0.000 2.549 5.683 F
0.000 5.510 5.546 F
0.000 5.873 2.860 F
0.000 8.420 5.413 F
0.000 8.523 8.467 F
0.000 8.623 2.736 F
1.925 1.007 7.029 F
1.925 1.107 4.174 F
1.925 1.210 1.120 F
1.925 3.757 7.153 F
1.925 4.120 1.253 F
1.925 7.081 1.390 F
```

Principal peaks in the range 10° ≤ 2θ ≤ 80°, by angle:
two_theta	I (rel.)
13.82	100
18.43	25
24.91	74
27.02	30
27.84	70
31.52	28
32.61	32
42.31	72
47.21	36
49.45	19
55.28	27
65.23	39

(5)
Li5FeO3F: calculated XRD peak list (Cu Kα X-rays), based on a cell relaxed with GGA+U.

Structure:
```
Li5FeO3F
1.0
4.800 -4.816 0.000
4.800 4.816 0.000
-1.322 0.000 4.555
Li Fe O F
10 2 6 2
Cartesian
2.756 2.721 2.810 Li
0.211 0.000 3.988 Li
3.372 2.051 0.589 Li
5.523 2.721 1.745 Li
4.907 2.051 3.966 Li
3.372 -2.051 0.589 Li
2.756 -2.721 2.810 Li
4.907 -2.051 3.966 Li
8.069 0.000 0.567 Li
5.523 -2.721 1.745 Li
2.742 0.000 2.890 Fe
5.538 0.000 1.666 Fe
1.429 1.429 3.423 O
4.140 1.406 2.278 O
1.429 -1.429 3.423 O
6.850 1.429 1.132 O
4.140 -1.406 2.278 O
6.850 -1.429 1.132 O
4.800 3.429 0.000 F
4.800 -3.429 0.000 F
```

Principal peaks in the range 10° ≤ 2θ ≤ 80°, by angle:
two_theta	I (rel.)
13.29	60
23.32	11
25.82	100
26.94	10
29.88	11
30.53	10
41.51	47
43.38	11
49.32	16
55.04	17
55.16	17
66.48	10

(6)
Li7FeO5F: calculated XRD peak list (Cu Kα X-rays), based on a cell relaxed with GGA+U.

Structure:
```
Li7FeO5F
1.0
5.527 0.000 0.000
2.637 4.858 0.000
0.468 0.318 10.862
Li Fe O F
14 2 10 2
Cartesian
0.000 0.000 0.000 Li
1.141 1.706 7.221 Li
2.987 4.835 5.609 Li
2.022 2.955 1.684 Li
4.610 4.858 8.680 Li
3.814 3.171 7.255 Li
4.635 4.674 1.803 Li
4.440 1.752 1.859 Li
4.067 0.450 7.144 Li
5.715 3.364 5.430 Li
5.554 3.114 0.193 Li
6.535 4.520 3.215 Li
7.518 3.659 8.688 Li
6.306 1.623 3.276 Li
2.997 1.690 4.635 Fe
3.249 1.803 10.069 Fe
1.248 1.781 5.183 O
2.994 4.873 7.634 O
2.433 3.385 10.569 O
2.870 1.758 8.241 O
2.760 1.374 2.810 O
3.820 3.074 5.390 O
5.087 5.095 10.588 O
4.848 1.848 10.848 O
3.990 0.217 5.102 O
5.716 3.115 2.218 O
5.795 3.528 7.676 F
8.221 4.867 2.241 F
```

Principal peaks in the range 10° ≤ 2θ ≤ 80°, by angle:
two_theta	I (rel.)
16.32	43
18.27	100
18.71	63
24.26	89
24.92	87
25.57	52
31.66	30
32.44	57
32.74	21
32.99	61
45.80	18
56.88	39

(7)
Li6FeO4F: calculated XRD peak list (Cu Kα X-rays), based on a cell relaxed with GGA+U.

Structure:
```
Li6FeO4F
1.0
5.006 0.000 0.000
0.000 9.602 0.000
-2.399 0.000 4.731
Li Fe O F
12 2 8 2
Cartesian
-0.561 0.000 1.883 Li
0.814 6.556 0.032 Li
1.059 2.871 0.102 Li
-0.029 2.344 2.459 Li
0.022 7.089 2.672 Li
0.597 4.807 1.798 Li
2.010 0.006 2.933 Li
2.585 2.288 2.059 Li
2.636 7.145 2.272 Li
1.548 7.672 4.629 Li
1.793 1.755 4.699 Li
3.168 4.801 2.849 Li
-0.798 0.063 4.680 Fe
3.405 4.864 0.051 Fe
-1.423 1.402 3.397 O
-1.380 8.170 3.563 O
-0.904 4.751 4.681 O
1.073 1.199 1.431 O
1.534 6.000 3.300 O
3.511 9.552 0.050 O
3.987 3.369 1.168 O
4.030 6.203 1.334 O
1.174 8.167 1.624 F
1.433 3.366 3.108 F
```

Principal peaks in the range 10° ≤ 2θ ≤ 80°, by angle:
two_theta	I (rel.)
18.48	60
18.76	49
21.95	94
22.29	90
26.45	100
35.89	45
42.23	32
42.61	23
43.92	50
44.46	38
54.46	33
56.28	22

(8)
LiFe8O8F8: calculated XRD peak list (Cu Kα X-rays), based on a cell relaxed with GGA+U.

Structure:
```
LiFe8O8F8
1.0
3.085 0.000 0.000
0.046 9.616 0.000
0.042 0.177 9.672
Li Fe O F
1 8 8 8
Cartesian
0.000 0.000 0.000 Li
0.434 7.233 5.112 Fe
0.416 2.560 4.982 Fe
0.447 7.117 0.107 Fe
0.450 2.555 0.371 Fe
1.949 9.481 7.232 Fe
1.950 9.592 2.409 Fe
2.003 5.194 7.426 Fe
1.982 4.932 2.354 Fe
0.413 8.749 6.326 O
0.412 8.739 1.631 O
0.462 5.923 8.306 O
0.440 3.925 1.659 O
1.986 8.477 8.904 O
1.979 6.300 5.809 O
1.983 6.316 1.057 O
1.984 1.433 0.941 O
0.392 1.031 3.467 F
0.420 1.135 8.157 F
0.436 5.884 3.454 F
0.450 3.973 6.539 F
1.965 8.228 3.993 F
1.951 1.510 5.925 F
1.966 3.593 4.003 F
2.021 3.524 8.865 F
```

Principal peaks in the range 10° ≤ 2θ ≤ 80°, by angle:
two_theta	I (rel.)
25.89	100
26.38	98
34.44	53
34.59	55
39.56	18
51.68	16
51.93	28
52.00	15
52.12	15
54.31	18
59.97	19
65.47	19

(9)
LiFe5O5F: calculated XRD peak list (Cu Kα X-rays), based on a cell relaxed with GGA+U.

Structure:
```
LiFe5O5F
1.0
13.451 0.000 0.000
0.000 1.794 3.073
0.000 -1.794 3.073
Li Fe O F
1 5 5 1
Cartesian
0.000 0.000 0.000 Li
2.237 0.000 4.059 Fe
4.452 0.000 6.099 Fe
6.725 0.000 4.068 Fe
8.998 0.000 6.099 Fe
11.213 0.000 4.059 Fe
2.182 0.000 0.061 O
4.465 0.000 4.102 O
6.725 0.000 0.065 O
8.985 0.000 4.102 O
11.268 0.000 0.061 O
0.000 0.000 4.109 F
```

Principal peaks in the range 10° ≤ 2θ ≤ 80°, by angle:
two_theta	I (rel.)
13.16	21
28.81	100
29.06	52
35.20	78
35.41	43
40.23	72
50.23	37
50.39	19
50.89	34
51.36	66
66.78	26
67.17	51

Which formula does entry 8 have?
LiFe8O8F8

Which formula does entry 4 have?
LiFe3O2F6